1.
For LaTm4Zn, a GGA-PBE-relaxed structure gives the theoretical PXRD pattern in this record (Cu Ka).
Intensities are scaled so that the largest is 100.

Structural model:
```
data_LaTm4Zn
_chemical_formula_sum 'La1 Tm4 Zn1'
_cell_length_a 3.546
_cell_length_b 3.546
_cell_length_c 13.638
_cell_angle_alpha 90.00
_cell_angle_beta 90.00
_cell_angle_gamma 90.00
_space_group_name_H-M_alt 'P 4/m m m'
_space_group_IT_number 123
_space_group_name_Hall '-P 4 2'
loop_
_atom_site_label
_atom_site_type_symbol
_atom_site_fract_x
_atom_site_fract_y
_atom_site_fract_z
La1 La 0.000 0.000 0.000
Tm1 Tm 0.000 0.000 0.373
Tm2 Tm 0.500 0.500 0.190
Zn1 Zn 0.500 0.500 0.500
```

Peak list (10 most intense, 2θ = 10–90°, low angle first)
28.4°, I 21.4, hkl 1 0 2
32.0°, I 100.0, hkl 1 0 3
32.8°, I 14.8, hkl 0 0 5
35.8°, I 49.8, hkl 1 1 0
36.6°, I 10.5, hkl 1 0 4
49.4°, I 19.1, hkl 1 1 5
51.5°, I 17.7, hkl 2 0 0
60.2°, I 19.2, hkl 1 0 8
62.0°, I 30.1, hkl 2 1 3
83.2°, I 12.6, hkl 2 1 8

2.
For Co2Hg, a GGA-PBE-relaxed structure gives the theoretical PXRD pattern in this record (Cu Ka).
Intensities are scaled so that the largest is 100.

Structural model:
```
data_Co2Hg
_chemical_formula_sum 'Co8 Hg4'
_cell_length_a 10.362
_cell_length_b 2.755
_cell_length_c 6.515
_cell_angle_alpha 90.00
_cell_angle_beta 110.18
_cell_angle_gamma 90.00
_space_group_name_H-M_alt 'C 1 2/m 1'
_space_group_IT_number 12
loop_
_space_group_symop_operation_xyz
'x,y,z'
'-x,-y,-z'
'-x,y,-z'
'x,-y,z'
'x+1/2,y+1/2,z'
'-x+1/2,-y+1/2,-z'
'-x+1/2,y+1/2,-z'
'x+1/2,-y+1/2,z'
loop_
_atom_site_label
_atom_site_type_symbol
_atom_site_fract_x
_atom_site_fract_y
_atom_site_fract_z
Co1 Co 0.027 0.000 0.204
Co2 Co 0.155 0.500 0.033
Hg1 Hg 0.156 0.500 0.613
```

Peak list (10 most intense, 2θ = 10–90°, low angle first)
14.5°, I 19.5, hkl 0 0 1
27.1°, I 19.1, hkl 2 0 1
28.6°, I 15.7, hkl 2 0 -2
34.7°, I 20.4, hkl 4 0 -1
35.6°, I 30.0, hkl 1 1 -1
38.5°, I 22.3, hkl 4 0 -2
39.9°, I 31.9, hkl 2 0 2
41.7°, I 18.2, hkl 2 0 -3
43.0°, I 100.0, hkl 3 1 0
81.9°, I 12.9, hkl 2 2 2

Please write out number 2 again, unchanged.
For Co2Hg, a GGA-PBE-relaxed structure gives the theoretical PXRD pattern in this record (Cu Ka).
Intensities are scaled so that the largest is 100.

Structural model:
```
data_Co2Hg
_chemical_formula_sum 'Co8 Hg4'
_cell_length_a 10.362
_cell_length_b 2.755
_cell_length_c 6.515
_cell_angle_alpha 90.00
_cell_angle_beta 110.18
_cell_angle_gamma 90.00
_space_group_name_H-M_alt 'C 1 2/m 1'
_space_group_IT_number 12
loop_
_space_group_symop_operation_xyz
'x,y,z'
'-x,-y,-z'
'-x,y,-z'
'x,-y,z'
'x+1/2,y+1/2,z'
'-x+1/2,-y+1/2,-z'
'-x+1/2,y+1/2,-z'
'x+1/2,-y+1/2,z'
loop_
_atom_site_label
_atom_site_type_symbol
_atom_site_fract_x
_atom_site_fract_y
_atom_site_fract_z
Co1 Co 0.027 0.000 0.204
Co2 Co 0.155 0.500 0.033
Hg1 Hg 0.156 0.500 0.613
```

Peak list (10 most intense, 2θ = 10–90°, low angle first)
14.5°, I 19.5, hkl 0 0 1
27.1°, I 19.1, hkl 2 0 1
28.6°, I 15.7, hkl 2 0 -2
34.7°, I 20.4, hkl 4 0 -1
35.6°, I 30.0, hkl 1 1 -1
38.5°, I 22.3, hkl 4 0 -2
39.9°, I 31.9, hkl 2 0 2
41.7°, I 18.2, hkl 2 0 -3
43.0°, I 100.0, hkl 3 1 0
81.9°, I 12.9, hkl 2 2 2